(1)
For Ca2GeO4, a structure optimized by DFT (GGA-PBE) gives the calculated X-ray powder pattern in this record (Cu Kα (weighted mean of Kα1 and Kα2)).

Cell and atoms:
a = 5.8032 Å, b = 5.8032 Å, c = 6.8605 Å
α = 90.00°, β = 90.00°, γ = 120.00°
Space group P-3m1 (No. 164)
Inequivalent atoms, fractional coordinates:
Ca 0.0000 0.0000 0.0000
Ca 0.0000 0.0000 0.5000
Ca 0.3333 0.6667 0.1346
Ge 0.3333 0.6667 0.6877
O 0.1729 0.3459 0.7961
O 0.3333 0.6667 0.4380

Principal peaks in the range 10 to 80 degrees two-theta, by intensity:
30.82°, intensity 1000; 31.58°, intensity 555; 44.70°, intensity 433; 21.92°, intensity 349; 55.28°, intensity 215; 64.20°, intensity 191; 54.80°, intensity 178; 43.48°, intensity 145


(2)
For NbCoAs, a structure optimized by DFT (GGA-PBE) gives the calculated X-ray powder pattern in this record (Cu Kα (weighted mean of Kα1 and Kα2)).

Cell and atoms:
a = 6.302 Å, b = 3.762 Å, c = 7.155 Å
α = 90.00°, β = 90.00°, γ = 90.00°
Space group Pnma (No. 62)
Inequivalent atoms, fractional coordinates:
Nb 0.025 0.250 0.172
Co 0.150 0.250 0.563
As 0.222 0.750 0.379

Principal peaks in the range 10 to 80 degrees two-theta, by intensity:
39.37°, intensity 1000; 37.51°, intensity 838; 44.99°, intensity 553; 48.39°, intensity 394; 40.44°, intensity 236; 47.38°, intensity 211; 50.37°, intensity 170; 74.03°, intensity 151